1.
Diffraction record for Na2SrBiTe. The PXRD pattern is calculated, not measured: it uses the GGA-PBE geometry in Alexandria and Cu Kα (weighted mean of Kα1 and Kα2).
Lines closer than 0.1° are merged.

Cell and atoms:
Cell lengths 5.3368, 5.3368, 7.0148 Å; angles 90.00, 90.00, 90.00 degrees
Space group P4mm (No. 99)
One atom of each set of equivalent atoms:
Na1 0.0000 0.5000 0.0000 x2
Sr1 0.0000 0.0000 0.6229 x1
Bi1 0.5000 0.5000 0.6893 x1
Te1 0.0000 0.0000 0.1685 x1

Main lines, in order of falling intensity (2θ from 15° to 90°):
2θ/deg, I_rel, index
20.92, 100.0, 1 0 1
23.58, 83.2, 1 1 0
34.92, 81.7, 1 1 2
33.59, 54.8, 2 0 0
39.90, 39.2, 2 1 1
42.57, 36.6, 2 0 2
25.39, 35.6, 0 0 2
26.83, 33.3, 1 1 1

2.
Diffraction record for KTlV2I8. The PXRD pattern is calculated, not measured: it uses the GGA-PBE geometry in Alexandria and Cu Kα (weighted mean of Kα1 and Kα2).
Lines closer than 0.1° are merged.

Cell and atoms:
Cell lengths 7.8245, 7.8245, 31.7560 Å; angles 90.00, 90.00, 120.00 degrees
Space group R-3 (No. 148, hexagonal axes)
One atom of each set of equivalent atoms:
K1 0.0000 0.0000 0.0000 x3
Tl1 0.0000 0.0000 0.5000 x3
V1 0.0000 0.0000 0.2416 x6
I1 0.0000 0.0000 0.1610 x6
I2 0.0079 0.6155 0.0662 x18

Main lines, in order of falling intensity (2θ from 15° to 90°):
2θ/deg, I_rel, index
24.25, 100.0, 2 -1 3
28.37, 64.8, 1 1 6
39.91, 27.7, 3 0 0
25.24, 24.6, 0 0 9
41.18, 21.5, 2 -1 12
47.81, 16.3, 0 3 9
48.92, 15.9, 1 1 15
26.02, 11.8, 0 1 8

3.
Diffraction record for Pr12Y2In. The PXRD pattern is calculated, not measured: it uses the GGA-PBE geometry in Alexandria and Cu Kα (weighted mean of Kα1 and Kα2).
Lines closer than 0.1° are merged.

Cell and atoms:
Cell lengths 6.7933, 6.7933, 24.0553 Å; angles 90.00, 90.00, 90.00 degrees
Space group P4/nbm (No. 125, origin choice 2)
One atom of each set of equivalent atoms:
Pr1 0.0033 0.5033 0.0914 x8
Pr2 0.0837 0.5837 0.5659 x8
Pr3 0.2500 0.2500 0.1999 x4
Pr4 0.2500 0.2500 0.3280 x4
Y1 0.2500 0.7500 0.2525 x4
In1 0.2500 0.7500 0.0000 x2

Main lines, in order of falling intensity (2θ from 15° to 90°):
2θ/deg, I_rel, index
27.28, 100.0, 2 0 2
34.61, 79.4, 2 0 6
37.44, 71.2, 2 2 0
19.90, 48.9, 1 1 2
30.22, 46.1, 2 0 4
52.34, 43.3, 3 1 8
29.01, 33.0, 1 1 6
64.21, 32.7, 2 0 15

4.
Diffraction record for PuTcAgO6. The PXRD pattern is calculated, not measured: it uses the GGA-PBE geometry in Alexandria and Cu Kα (weighted mean of Kα1 and Kα2).
Lines closer than 0.1° are merged.

Cell and atoms:
Cell lengths 5.4325, 5.4325, 9.7861 Å; angles 90.00, 90.00, 120.00 degrees
Space group P-31c (No. 163)
One atom of each set of equivalent atoms:
Pu1 0.3333 0.6667 0.2500 x2
Tc1 0.3333 0.6667 0.7500 x2
Ag1 0.0000 0.0000 0.0000 x2
O1 0.0222 0.3766 0.6403 x12

Main lines, in order of falling intensity (2θ from 15° to 90°):
2θ/deg, I_rel, index
26.28, 100.0, 1 0 2
32.98, 55.5, 1 1 0
50.19, 50.5, 1 1 4
18.13, 29.4, 0 0 2
42.65, 26.0, 2 0 2
54.94, 25.3, 2 1 2
37.88, 24.8, 1 1 2
20.95, 23.6, 1 0 1

5.
Diffraction record for AlPO4. The PXRD pattern is calculated, not measured: it uses the GGA-PBE geometry in Alexandria and Cu Kα (weighted mean of Kα1 and Kα2).
Lines closer than 0.1° are merged.

Cell and atoms:
Cell lengths 9.7928, 15.5960, 8.7038 Å; angles 90.00, 90.00, 90.00 degrees
Space group Aem2 (No. 39)
One atom of each set of equivalent atoms:
Al1 0.1480 0.0965 0.0000 x8
Al2 0.3461 0.2500 0.5014 x4
P1 0.1551 0.0963 0.6246 x8
P2 0.3401 0.2500 0.1263 x4
O1 0.0162 0.1259 0.5608 x8
O2 0.1496 0.0961 0.8003 x8
O3 0.1898 0.0057 0.5675 x8
O4 0.2668 0.1577 0.5707 x8
O5 0.2668 0.1693 0.0692 x8
O6 0.3421 0.2500 0.3019 x4
O7 0.4859 0.2500 0.0645 x4

Main lines, in order of falling intensity (2θ from 15° to 90°):
2θ/deg, I_rel, index
20.41, 100.0, 0 0 2
21.88, 63.8, 1 3 1
24.58, 47.1, 1 4 0
21.59, 42.9, 2 1 1
18.12, 37.5, 2 0 0
29.67, 30.9, 3 2 0
36.65, 13.9, 1 3 3
25.14, 13.7, 1 2 2

6.
Diffraction record for KAg8Pt4. The PXRD pattern is calculated, not measured: it uses the GGA-PBE geometry in Alexandria and Cu Kα (weighted mean of Kα1 and Kα2).
Lines closer than 0.1° are merged.

Cell and atoms:
Cell lengths 5.8400, 5.8400, 27.3052 Å; angles 90.00, 90.00, 120.00 degrees
Space group R-3m (No. 166, hexagonal axes)
One atom of each set of equivalent atoms:
K1 0.0000 0.0000 0.0000 x3
Ag1 0.0000 0.0000 0.2484 x6
Ag2 0.0017 0.5008 0.2434 x18
Pt1 0.0000 0.0000 0.5000 x3
Pt2 0.0000 0.5000 0.0000 x9

Main lines, in order of falling intensity (2θ from 15° to 90°):
2θ/deg, I_rel, index
37.94, 100.0, 0 2 4
44.59, 60.8, 2 0 8
17.84, 27.9, 1 0 1
39.61, 27.0, 0 0 12
77.71, 23.7, 2 2 12
63.75, 21.3, 2 2 0
66.05, 18.6, 0 2 16
23.98, 15.5, 0 1 5

7.
Diffraction record for La4Cd2Sn. The PXRD pattern is calculated, not measured: it uses the GGA-PBE geometry in Alexandria and Cu Kα (weighted mean of Kα1 and Kα2).
Lines closer than 0.1° are merged.

Cell and atoms:
Cell lengths 5.4891, 5.4891, 26.5560 Å; angles 90.00, 90.00, 120.00 degrees
Space group R-3m (No. 166, hexagonal axes)
One atom of each set of equivalent atoms:
La1 0.0000 0.0000 0.1192 x6
La2 0.0000 0.0000 0.3712 x6
Cd1 0.0000 0.0000 0.2489 x6
Sn1 0.0000 0.0000 0.5000 x3

Main lines, in order of falling intensity (2θ from 15° to 90°):
2θ/deg, I_rel, index
32.63, 100.0, 1 1 0
32.91, 94.1, 0 1 8
58.40, 35.9, 1 2 8
47.02, 34.5, 2 0 8
58.22, 18.8, 3 0 0
58.94, 15.5, 1 0 16
77.98, 15.4, 3 1 8
78.44, 13.5, 2 1 16

8.
Diffraction record for PmNd2PaBi4. The PXRD pattern is calculated, not measured: it uses the GGA-PBE geometry in Alexandria and Cu Kα (weighted mean of Kα1 and Kα2).
Lines closer than 0.1° are merged.

Cell and atoms:
Cell lengths 7.9134, 4.5557, 7.9181 Å; angles 90.00, 109.23, 90.00 degrees
Space group P2/m (No. 10)
One atom of each set of equivalent atoms:
Pm1 0.0000 0.0000 0.0000 x1
Nd1 0.0000 0.5000 0.5000 x1
Nd2 0.5000 0.0000 0.5000 x1
Pa1 0.5000 0.5000 0.0000 x1
Bi1 0.2527 0.5000 0.2447 x2
Bi2 0.2549 0.0000 0.7563 x2

Main lines, in order of falling intensity (2θ from 15° to 90°):
2θ/deg, I_rel, index
27.62, 100.0, 1 1 1
39.47, 52.4, 3 1 -1
64.53, 25.1, 4 2 0
48.74, 14.4, 4 0 0
48.95, 14.3, 2 2 -2
71.70, 14.0, 3 3 -1
57.03, 13.6, 2 2 2
39.31, 13.2, 2 0 2

9.
Diffraction record for RbInPb6. The PXRD pattern is calculated, not measured: it uses the GGA-PBE geometry in Alexandria and Cu Kα (weighted mean of Kα1 and Kα2).
Lines closer than 0.1° are merged.

Cell and atoms:
Cell lengths 5.2200, 5.2200, 10.8349 Å; angles 90.00, 90.00, 90.00 degrees
Space group P4/mmm (No. 123)
One atom of each set of equivalent atoms:
Rb1 0.0000 0.0000 0.0000 x1
In1 0.0000 0.0000 0.5000 x1
Pb1 0.0000 0.5000 0.3271 x4
Pb2 0.5000 0.5000 0.1503 x2

Main lines, in order of falling intensity (2θ from 15° to 90°):
2θ/deg, I_rel, index
34.75, 100.0, 1 1 3
34.36, 69.4, 2 0 0
25.49, 50.0, 1 1 1
61.79, 39.1, 3 1 3
29.28, 29.9, 1 1 2
49.38, 25.3, 2 2 0
62.55, 24.0, 2 0 6
18.87, 21.2, 1 0 1